This entry pairs a crystal structure of V3OF11 with its simulated powder diffractogram. Radiation: Cu Kα (weighted mean of Kα1 and Kα2). Structure: a GGA+U-relaxed structure.
Neutral-atom scattering factors, no anomalous dispersion.

Atomic structure:
Lattice parameters (Å, degrees): 5.461 5.267 15.020 90.00 100.32 90.00
Fractional positions:
V (0.035, 0.000, 0.163)
V (0.250, 0.539, 0.500)
V (0.437, 0.017, 0.833)
V (0.563, 0.517, 0.167)
V (0.750, 0.039, 0.500)
V (0.965, 0.500, 0.837)
O (0.213, 0.317, 0.858)
O (0.787, 0.817, 0.142)
F (0.042, 0.127, 0.054)
F (0.061, 0.236, 0.523)
F (0.130, 0.805, 0.809)
F (0.136, 0.951, 0.280)
F (0.207, 0.458, 0.384)
F (0.267, 0.739, 0.140)
F (0.290, 0.622, 0.616)
F (0.374, 0.238, 0.191)
F (0.375, 0.125, 0.720)
F (0.440, 0.842, 0.477)
F (0.462, 0.952, 0.950)
F (0.538, 0.452, 0.050)
F (0.560, 0.342, 0.523)
F (0.625, 0.625, 0.280)
F (0.626, 0.738, 0.809)
F (0.710, 0.122, 0.384)
F (0.733, 0.239, 0.860)
F (0.793, 0.958, 0.616)
F (0.864, 0.451, 0.720)
F (0.870, 0.305, 0.191)
F (0.939, 0.736, 0.477)
F (0.958, 0.627, 0.946)

Main lines, by angle (10 to 90 degrees two-theta):
2θ/deg	d (Å)	I_rel	h k l
18.0	4.926	59	0 0 3
25.2	3.538	100	1 1 1
32.8	2.731	8	2 0 -1
36.5	2.463	8	0 0 6
39.1	2.306	10	1 2 -2
40.4	2.231	8	0 1 6
48.0	1.896	16	2 2 -1
51.7	1.769	11	2 2 -4
52.3	1.748	14	1 1 -8
54.1	1.695	11	3 1 0